No. 1
Starting from a PBE-relaxed structure, the powder diffractogram of SrLaEuNbO6 was calculated for Cu Ka.
No peak broadening, texture or thermal motion is included.

Structure:
Cell lengths 5.9705, 5.9705, 8.7465 Å; angles 90.00, 90.00, 90.00 degrees
Fractional coordinates of all 20 atoms:
1 Sr 0.0000 0.0000 0.0000
2 Sr 0.5000 0.5000 0.0000
3 La 0.0000 0.5000 0.2501
4 La 0.5000 0.0000 0.7499
5 Eu 0.0000 0.0000 0.5000
6 Eu 0.5000 0.5000 0.5000
7 Nb 0.0000 0.5000 0.7486
8 Nb 0.5000 0.0000 0.2514
9 O 0.0000 0.5000 0.5161
10 O 0.0000 0.5000 0.9818
11 O 0.1497 0.8051 0.7474
12 O 0.1949 0.8503 0.2526
13 O 0.3051 0.3503 0.7474
14 O 0.3503 0.3051 0.2526
15 O 0.5000 0.0000 0.0182
16 O 0.5000 0.0000 0.4839
17 O 0.6497 0.6949 0.2526
18 O 0.6949 0.6497 0.7474
19 O 0.8051 0.1497 0.2526
20 O 0.8503 0.1949 0.7474

Top 10 peaks for 2θ = 15–90°, in order of rising 2θ:
2θ (°), Rel. int.
29.4, 100
29.9, 58
41.3, 18
42.8, 27
51.8, 25
52.8, 47
61.0, 18
70.5, 12
83.8, 13
85.2, 14

No. 2
Starting from a PBE-relaxed structure, the powder diffractogram of SrLaEuNbO6 was calculated for Cu Ka.
No peak broadening, texture or thermal motion is included.

Structure:
Cell lengths 8.5826, 8.5967, 8.6008 Å; angles 90.00, 90.00, 90.00 degrees
Fractional coordinates of all 40 atoms:
1 Sr 0.0000 0.0000 0.0000
2 Sr 0.0000 0.5000 0.0000
3 Sr 0.5000 0.0000 0.0000
4 Sr 0.5000 0.5000 0.5000
5 La 0.2501 0.2503 0.2497
6 La 0.2501 0.7497 0.7503
7 La 0.7499 0.2503 0.7503
8 La 0.7499 0.7497 0.2497
9 Eu 0.0000 0.0000 0.5000
10 Eu 0.0000 0.5000 0.5000
11 Eu 0.5000 0.0000 0.5000
12 Eu 0.5000 0.5000 0.0000
13 Nb 0.2497 0.2505 0.7507
14 Nb 0.2497 0.7495 0.2493
15 Nb 0.7503 0.2505 0.2493
16 Nb 0.7503 0.7495 0.7507
17 O 0.0215 0.1973 0.7914
18 O 0.0215 0.8027 0.2086
19 O 0.1960 0.2930 0.5211
20 O 0.1960 0.7070 0.4789
21 O 0.2082 0.4786 0.8023
22 O 0.2082 0.5214 0.1977
23 O 0.2932 0.0211 0.6957
24 O 0.2932 0.9789 0.3043
25 O 0.3026 0.2084 0.9783
26 O 0.3026 0.7916 0.0217
27 O 0.4788 0.3024 0.7080
28 O 0.4788 0.6976 0.2920
29 O 0.5212 0.3024 0.2920
30 O 0.5212 0.6976 0.7080
31 O 0.6974 0.2084 0.0217
32 O 0.6974 0.7916 0.9783
33 O 0.7068 0.0211 0.3043
34 O 0.7068 0.9789 0.6957
35 O 0.7918 0.4786 0.1977
36 O 0.7918 0.5214 0.8023
37 O 0.8040 0.2930 0.4789
38 O 0.8040 0.7070 0.5211
39 O 0.9785 0.1973 0.2086
40 O 0.9785 0.8027 0.7914

Top 10 peaks for 2θ = 15–90°, in order of rising 2θ:
2θ (°), Rel. int.
29.4, 100
34.6, 2
42.1, 26
52.1, 46
61.0, 15
69.1, 12
69.2, 6
76.9, 5
84.3, 15
84.4, 7

No. 3
Starting from a PBE-relaxed structure, the powder diffractogram of SrLaEuNbO6 was calculated for Cu Ka.
No peak broadening, texture or thermal motion is included.

Structure:
Cell lengths 5.9036, 6.0808, 8.4772 Å; angles 90.22, 90.68, 90.04 degrees
Fractional coordinates of all 20 atoms:
1 Sr 0.0128 0.0501 0.2499
2 Sr 0.9872 0.9499 0.7501
3 La 0.0000 0.5000 0.5000
4 La 0.5000 0.0000 0.0000
5 Eu 0.4837 0.5527 0.2514
6 Eu 0.5163 0.4473 0.7486
7 Nb 0.0000 0.5000 0.0000
8 Nb 0.5000 0.0000 0.5000
9 O 0.1129 0.5377 0.7738
10 O 0.1755 0.7784 0.0601
11 O 0.2215 0.8171 0.4460
12 O 0.2779 0.3188 0.0586
13 O 0.3279 0.2814 0.4389
14 O 0.3967 0.0455 0.7270
15 O 0.6033 0.9545 0.2730
16 O 0.6721 0.7186 0.5611
17 O 0.7221 0.6812 0.9414
18 O 0.7785 0.1829 0.5540
19 O 0.8245 0.2216 0.9399
20 O 0.8871 0.4623 0.2262

Top 10 peaks for 2θ = 15–90°, in order of rising 2θ:
2θ (°), Rel. int.
29.4, 44
29.7, 100
30.0, 99
30.3, 46
42.7, 68
52.4, 14
52.5, 18
52.9, 13
53.3, 22
53.8, 24

No. 4
Starting from a PBE-relaxed structure, the powder diffractogram of LaEuPd6 was calculated for Cu Ka.
No peak broadening, texture or thermal motion is included.

Structure:
Cell lengths 4.3178, 4.3178, 8.5010 Å; angles 90.00, 90.00, 90.00 degrees
Fractional coordinates of all 8 atoms:
1 La 0.0000 0.0000 0.0000
2 Eu 0.0000 0.0000 0.5000
3 Pd 0.0000 0.5000 0.2496
4 Pd 0.0000 0.5000 0.7504
5 Pd 0.5000 0.0000 0.2496
6 Pd 0.5000 0.0000 0.7504
7 Pd 0.5000 0.5000 0.0000
8 Pd 0.5000 0.5000 0.5000

Top 10 peaks for 2θ = 15–90°, in order of rising 2θ:
2θ (°), Rel. int.
20.6, 1
29.5, 1
36.2, 100
41.8, 33
42.5, 16
60.7, 11
61.2, 21
72.7, 25
73.7, 12
76.9, 11

No. 5
Starting from a PBE-relaxed structure, the powder diffractogram of LaEuPt2 was calculated for Cu Ka.
No peak broadening, texture or thermal motion is included.

Structure:
Cell lengths 5.1366, 5.1366, 5.1366 Å; angles 60.00, 60.00, 60.00 degrees
Fractional coordinates of all 4 atoms:
1 La 0.0000 0.0000 0.0000
2 Eu 0.5000 0.5000 0.5000
3 Pt 0.2500 0.2500 0.2500
4 Pt 0.7500 0.7500 0.7500

Top 9 peaks for 2θ = 15–90°, in order of rising 2θ:
2θ (°), Rel. int.
24.5, 2
34.9, 100
43.1, 1
50.2, 18
56.7, 1
62.7, 37
73.8, 12
79.1, 1
84.3, 17

No. 6
Starting from a PBE-relaxed structure, the powder diffractogram of La2EuS4 was calculated for Cu Ka.
No peak broadening, texture or thermal motion is included.

Structure:
Cell lengths 7.5842, 7.5842, 7.5842 Å; angles 109.27, 109.27, 109.88 degrees
Fractional coordinates of all 14 atoms:
1 La 0.0032 0.6250 0.8782
2 La 0.3750 0.2532 0.3782
3 La 0.7468 0.1250 0.1218
4 La 0.8750 0.9968 0.6218
5 Eu 0.2500 0.7500 0.5000
6 Eu 0.5000 0.5000 0.0000
7 S 0.1213 0.3719 0.5982
8 S 0.1219 0.3713 0.0982
9 S 0.2731 0.0238 0.9018
10 S 0.4769 0.8787 0.2507
11 S 0.6281 0.2262 0.7493
12 S 0.6287 0.7269 0.7507
13 S 0.7738 0.5231 0.4018
14 S 0.9762 0.8781 0.2493

Top 10 peaks for 2θ = 15–90°, in order of rising 2θ:
2θ (°), Rel. int.
24.9, 100
32.3, 64
32.5, 32
38.4, 42
38.6, 18
46.3, 26
46.5, 14
48.8, 26
53.2, 14
65.6, 18

No. 7
Starting from a PBE-relaxed structure, the powder diffractogram of LiEuO3 was calculated for Cu Ka.
No peak broadening, texture or thermal motion is included.

Structure:
Cell lengths 3.7635, 3.7635, 3.7635 Å; angles 90.00, 90.00, 90.00 degrees
Fractional coordinates of all 5 atoms:
1 Li 0.0000 0.0000 0.0000
2 Eu 0.5000 0.5000 0.5000
3 O 0.0000 0.0000 0.5000
4 O 0.0000 0.5000 0.0000
5 O 0.5000 0.0000 0.0000

Top 10 peaks for 2θ = 15–90°, in order of rising 2θ:
2θ (°), Rel. int.
23.6, 100
33.7, 98
41.6, 70
48.4, 36
54.5, 44
60.2, 38
70.8, 21
75.8, 22
80.7, 17
85.6, 23

No. 8
Starting from a PBE-relaxed structure, the powder diffractogram of LiEu3O4 was calculated for Cu Ka.
No peak broadening, texture or thermal motion is included.

Structure:
Cell lengths 11.5131, 3.4555, 11.7401 Å; angles 90.00, 90.00, 90.00 degrees
Fractional coordinates of all 32 atoms:
1 Li 0.1516 0.2500 0.0946
2 Li 0.3484 0.7500 0.5946
3 Li 0.6516 0.2500 0.4054
4 Li 0.8484 0.7500 0.9054
5 Eu 0.1020 0.7500 0.8889
6 Eu 0.1312 0.2500 0.5727
7 Eu 0.1412 0.7500 0.2958
8 Eu 0.3588 0.2500 0.7958
9 Eu 0.3688 0.7500 0.0727
10 Eu 0.3980 0.2500 0.3889
11 Eu 0.6020 0.7500 0.6111
12 Eu 0.6312 0.2500 0.9273
13 Eu 0.6412 0.7500 0.2042
14 Eu 0.8588 0.2500 0.7042
15 Eu 0.8688 0.7500 0.4273
16 Eu 0.8980 0.2500 0.1111
17 O 0.0204 0.2500 0.3833
18 O 0.0526 0.7500 0.1056
19 O 0.2319 0.7500 0.7175
20 O 0.2394 0.2500 0.9588
21 O 0.2606 0.7500 0.4588
22 O 0.2681 0.2500 0.2175
23 O 0.4474 0.2500 0.6056
24 O 0.4796 0.7500 0.8833
25 O 0.5204 0.2500 0.1167
26 O 0.5526 0.7500 0.3944
27 O 0.7319 0.7500 0.7825
28 O 0.7394 0.2500 0.5412
29 O 0.7606 0.7500 0.0412
30 O 0.7681 0.2500 0.2825
31 O 0.9474 0.2500 0.8944
32 O 0.9796 0.7500 0.6167

Top 10 peaks for 2θ = 15–90°, in order of rising 2θ:
2θ (°), Rel. int.
27.6, 100
28.0, 22
31.0, 100
33.9, 37
35.8, 35
38.3, 40
47.5, 32
50.1, 21
53.2, 20
60.8, 22